# 1
This entry pairs a crystal structure of Li4Mn3CoO8 with its theoretical X-ray diffraction stick pattern. Radiation: Cu Kα X-rays. Structure: the GGA+U geometry in the Materials Project.
Lines closer than 0.1° are merged.

Largest 12 diffraction maxima, in order of falling intensity, 10 to 80 degrees two-theta:
18.27°, I = 100
42.13°, I = 28
43.17°, I = 26
43.39°, I = 26
62.07°, I = 21
34.81°, I = 15
35.58°, I = 14
35.39°, I = 14
46.80°, I = 10
36.98°, I = 10
36.87°, I = 9
61.75°, I = 7

Structure:
abc: 5.9201 5.9828 10.2570
angles: 74.49 73.40 60.66
Positions (direct):
Li (0.2384, 0.2500, 0.2498)
Li (0.2420, 0.7424, 0.2551)
Li (0.2529, 0.7493, 0.7501)
Li (0.2602, 0.2435, 0.7557)
Li (0.7398, 0.7565, 0.2443)
Li (0.7471, 0.2507, 0.2499)
Li (0.7580, 0.2576, 0.7449)
Li (0.7616, 0.7500, 0.7502)
Mn (0.0000, 0.0000, 0.0000)
Mn (0.0000, 0.0000, 0.5000)
Mn (0.0000, 0.5000, 0.0000)
Mn (0.5000, 0.0000, 0.5000)
Mn (0.5000, 0.5000, 0.0000)
Mn (0.5000, 0.5000, 0.5000)
Co (0.0000, 0.5000, 0.5000)
Co (0.5000, 0.0000, 0.0000)
O (0.1034, 0.6092, 0.1266)
O (0.1072, 0.1498, 0.1073)
O (0.1364, 0.6508, 0.6067)
O (0.1405, 0.1118, 0.6104)
O (0.3363, 0.8929, 0.3737)
O (0.3589, 0.3877, 0.8893)
O (0.3633, 0.8567, 0.8917)
O (0.3868, 0.3604, 0.3906)
O (0.6132, 0.6396, 0.6094)
O (0.6367, 0.1433, 0.1083)
O (0.6411, 0.6123, 0.1107)
O (0.6637, 0.1071, 0.6263)
O (0.8595, 0.8882, 0.3896)
O (0.8636, 0.3492, 0.3933)
O (0.8928, 0.8502, 0.8927)
O (0.8966, 0.3908, 0.8734)



# 2
This entry pairs a crystal structure of Li2Mn2CoO6 with its theoretical X-ray diffraction stick pattern. Radiation: Cu Kα X-rays. Structure: the GGA+U geometry in the Materials Project.
Lines closer than 0.1° are merged.

Largest 12 diffraction maxima, in order of falling intensity, 10 to 80 degrees two-theta:
18.04°, I = 100
41.90°, I = 23
43.14°, I = 21
44.02°, I = 19
34.73°, I = 14
35.65°, I = 12
61.89°, I = 11
36.43°, I = 11
64.32°, I = 8
47.07°, I = 7
61.51°, I = 6
62.89°, I = 6

Structure:
abc: 6.0010 6.0329 6.5689
angles: 76.85 74.77 88.41
Positions (direct):
Li (0.0000, 0.0000, 0.0000)
Li (0.0000, 0.5000, 0.0000)
Li (0.3485, 0.3228, 0.6555)
Li (0.6515, 0.6772, 0.3445)
Mn (0.1660, 0.6680, 0.3335)
Mn (0.1751, 0.1675, 0.3336)
Mn (0.8249, 0.8325, 0.6664)
Mn (0.8340, 0.3320, 0.6665)
Co (0.5000, 0.0000, 0.0000)
Co (0.5000, 0.5000, 0.0000)
O (0.0514, 0.5736, 0.6545)
O (0.0727, 0.1118, 0.6470)
O (0.2522, 0.7467, 0.0260)
O (0.2614, 0.2446, 0.0190)
O (0.3826, 0.9042, 0.3191)
O (0.4048, 0.4484, 0.3159)
O (0.5952, 0.5516, 0.6841)
O (0.6174, 0.0958, 0.6809)
O (0.7386, 0.7554, 0.9810)
O (0.7478, 0.2533, 0.9740)
O (0.9273, 0.8882, 0.3530)
O (0.9486, 0.4264, 0.3455)



# 3
This entry pairs a crystal structure of Li3MnCoO5 with its theoretical X-ray diffraction stick pattern. Radiation: Cu Kα X-rays. Structure: the GGA+U geometry in the Materials Project.
Lines closer than 0.1° are merged.

Largest 12 diffraction maxima, in order of falling intensity, 10 to 80 degrees two-theta:
18.44°, I = 100
42.91°, I = 30
43.59°, I = 28
44.47°, I = 28
35.59°, I = 13
35.78°, I = 13
36.66°, I = 13
62.82°, I = 8
62.59°, I = 8
63.06°, I = 8
64.20°, I = 7
64.16°, I = 7

Structure:
abc: 2.9033 5.0686 12.8092
angles: 78.62 84.97 74.97
Positions (direct):
Li (0.0000, 0.0000, 0.0000)
Li (0.0960, 0.5061, 0.2991)
Li (0.2831, 0.4956, 0.9113)
Li (0.5000, 0.5000, 0.5000)
Li (0.7169, 0.5044, 0.0887)
Li (0.9040, 0.4939, 0.7009)
Mn (0.4030, 0.0108, 0.1921)
Mn (0.5970, 0.9892, 0.8079)
Co (0.1925, 0.0021, 0.6004)
Co (0.8075, 0.9979, 0.3996)
O (0.0244, 0.7813, 0.1570)
O (0.1490, 0.2310, 0.4484)
O (0.2204, 0.7764, 0.7518)
O (0.3496, 0.2392, 0.0632)
O (0.4596, 0.7755, 0.3471)
O (0.5404, 0.2245, 0.6529)
O (0.6504, 0.7608, 0.9368)
O (0.7796, 0.2236, 0.2482)
O (0.8510, 0.7690, 0.5516)
O (0.9756, 0.2187, 0.8430)



# 4
This entry pairs a crystal structure of Li4Mn3CoO8 with its theoretical X-ray diffraction stick pattern. Radiation: Cu Kα X-rays. Structure: the GGA+U geometry in the Materials Project.
Lines closer than 0.1° are merged.

Largest 12 diffraction maxima, in order of falling intensity, 10 to 80 degrees two-theta:
18.10°, I = 100
39.66°, I = 35
43.74°, I = 25
44.67°, I = 23
33.23°, I = 20
36.47°, I = 16
35.89°, I = 13
64.88°, I = 9
37.00°, I = 9
60.33°, I = 8
60.68°, I = 8
61.15°, I = 8

Structure:
abc: 5.0647 5.1533 6.1639
angles: 102.75 93.83 101.59
Positions (direct):
Li (0.2375, 0.0042, 0.3787)
Li (0.2579, 0.9880, 0.8593)
Li (0.7421, 0.0120, 0.1407)
Li (0.7625, 0.9958, 0.6213)
Mn (0.0000, 0.5000, 0.0000)
Mn (0.4996, 0.4916, 0.7480)
Mn (0.5004, 0.5084, 0.2520)
Co (0.0000, 0.5000, 0.5000)
O (0.1293, 0.2844, 0.1978)
O (0.1424, 0.2577, 0.6860)
O (0.3615, 0.7252, 0.5703)
O (0.3644, 0.7328, 0.0681)
O (0.6356, 0.2672, 0.9319)
O (0.6385, 0.2748, 0.4297)
O (0.8576, 0.7423, 0.3140)
O (0.8707, 0.7156, 0.8022)



# 5
This entry pairs a crystal structure of Li7Mn4CoO12 with its theoretical X-ray diffraction stick pattern. Radiation: Cu Kα X-rays. Structure: the GGA+U geometry in the Materials Project.
Lines closer than 0.1° are merged.

Largest 12 diffraction maxima, in order of falling intensity, 10 to 80 degrees two-theta:
18.27°, I = 100
40.73°, I = 37
44.26°, I = 28
44.46°, I = 27
36.37°, I = 22
33.97°, I = 19
61.57°, I = 17
63.96°, I = 9
12.21°, I = 9
61.81°, I = 9
62.20°, I = 8
65.11°, I = 7

Structure:
abc: 3.0118 7.8369 10.1633
angles: 111.10 91.87 96.39
Positions (direct):
Li (0.0000, 0.0000, 0.0000)
Li (0.0115, 0.0099, 0.5205)
Li (0.3276, 0.6683, 0.3477)
Li (0.3469, 0.6823, 0.8453)
Li (0.4820, 0.9979, 0.7703)
Li (0.6446, 0.3329, 0.6894)
Li (0.6634, 0.3346, 0.1748)
Mn (0.1797, 0.3402, 0.4296)
Mn (0.4998, 0.0012, 0.2627)
Mn (0.8268, 0.6638, 0.0922)
Mn (0.8427, 0.6833, 0.6030)
Co (0.1488, 0.3211, 0.9222)
O (0.0988, 0.1922, 0.7403)
O (0.1156, 0.1713, 0.2325)
O (0.2132, 0.4923, 0.1194)
O (0.2929, 0.5222, 0.6262)
O (0.3797, 0.8177, 0.5623)
O (0.4484, 0.8376, 0.0626)
O (0.5519, 0.1688, 0.4665)
O (0.5587, 0.1840, 0.9672)
O (0.7705, 0.4975, 0.8962)
O (0.7890, 0.5063, 0.3988)
O (0.8751, 0.8297, 0.2947)
O (0.9010, 0.8229, 0.7916)



# 6
This entry pairs a crystal structure of Li7Mn4CoO12 with its theoretical X-ray diffraction stick pattern. Radiation: Cu Kα X-rays. Structure: the GGA+U geometry in the Materials Project.
Lines closer than 0.1° are merged.

Largest 12 diffraction maxima, in order of falling intensity, 10 to 80 degrees two-theta:
18.28°, I = 100
44.34°, I = 56
41.48°, I = 34
34.64°, I = 19
36.54°, I = 12
36.34°, I = 12
65.04°, I = 9
11.93°, I = 9
62.48°, I = 8
61.84°, I = 8
62.78°, I = 8
62.21°, I = 8

Structure:
abc: 2.9663 7.6564 9.9272
angles: 101.10 92.97 98.44
Positions (direct):
Li (0.0000, 0.0000, 0.0000)
Li (0.0744, 0.1598, 0.7560)
Li (0.1482, 0.3212, 0.5130)
Li (0.3266, 0.6628, 0.0116)
Li (0.5028, 0.0052, 0.5121)
Li (0.6434, 0.3103, 0.9975)
Li (0.8254, 0.6597, 0.5030)
Mn (0.2427, 0.4962, 0.2543)
Mn (0.4050, 0.8363, 0.7600)
Mn (0.5715, 0.1575, 0.2572)
Mn (0.7434, 0.4833, 0.7528)
Co (0.9093, 0.8270, 0.2579)
O (0.1586, 0.2516, 0.1361)
O (0.2383, 0.4269, 0.8648)
O (0.2664, 0.5764, 0.6500)
O (0.3288, 0.7380, 0.3734)
O (0.4870, 0.9142, 0.1436)
O (0.5152, 0.0573, 0.8753)
O (0.6326, 0.2624, 0.6385)
O (0.6546, 0.4028, 0.3730)
O (0.8270, 0.5903, 0.1378)
O (0.8825, 0.7440, 0.8629)
O (0.9103, 0.8932, 0.6485)
O (0.9900, 0.0647, 0.3751)



# 7
This entry pairs a crystal structure of Li4MnCo2O7 with its theoretical X-ray diffraction stick pattern. Radiation: Cu Kα X-rays. Structure: the GGA+U geometry in the Materials Project.
Lines closer than 0.1° are merged.

Largest 12 diffraction maxima, in order of falling intensity, 10 to 80 degrees two-theta:
18.36°, I = 100
44.09°, I = 55
42.54°, I = 29
36.35°, I = 24
35.21°, I = 15
62.87°, I = 15
62.99°, I = 14
58.04°, I = 10
47.61°, I = 9
63.45°, I = 8
64.79°, I = 8
37.25°, I = 7

Structure:
abc: 15.0216 15.0216 5.8643
angles: 95.73 95.73 10.99
Positions (direct):
Li (0.0000, 0.0000, 0.0000)
Li (0.0000, 0.0000, 0.4866)
Li (0.1400, 0.1400, 0.5670)
Li (0.2848, 0.2848, 0.1357)
Li (0.4343, 0.4343, 0.7048)
Li (0.5685, 0.5685, 0.2816)
Li (0.7120, 0.7120, 0.8489)
Li (0.8598, 0.8598, 0.4236)
Mn (0.2854, 0.2854, 0.6352)
Mn (0.4328, 0.4328, 0.2139)
Co (0.1412, 0.1412, 0.0515)
Co (0.5629, 0.5629, 0.7671)
Co (0.7105, 0.7105, 0.3474)
Co (0.8598, 0.8598, 0.9240)
O (0.0712, 0.0712, 0.5525)
O (0.0725, 0.0725, 0.0035)
O (0.2133, 0.2133, 0.1120)
O (0.2147, 0.2147, 0.5889)
O (0.3581, 0.3581, 0.7012)
O (0.3616, 0.3616, 0.1473)
O (0.4937, 0.4937, 0.2407)
O (0.5029, 0.5029, 0.7469)
O (0.6431, 0.6431, 0.2961)
O (0.6429, 0.6429, 0.8323)
O (0.7862, 0.7862, 0.4077)
O (0.7871, 0.7871, 0.8646)
O (0.9281, 0.9281, 0.4305)
O (0.9292, 0.9292, 0.9843)



# 8
This entry pairs a crystal structure of Li7Mn4CoO12 with its theoretical X-ray diffraction stick pattern. Radiation: Cu Kα X-rays. Structure: the GGA+U geometry in the Materials Project.
Lines closer than 0.1° are merged.

Largest 12 diffraction maxima, in order of falling intensity, 10 to 80 degrees two-theta:
18.28°, I = 100
44.50°, I = 54
41.28°, I = 33
62.27°, I = 15
34.58°, I = 15
36.65°, I = 12
36.41°, I = 12
64.33°, I = 9
58.53°, I = 9
61.84°, I = 8
62.84°, I = 8
12.41°, I = 8

Structure:
abc: 5.9309 8.0210 10.3688
angles: 110.17 97.20 104.75
Positions (direct):
Li (0.1101, 0.1079, 0.4219)
Li (0.1133, 0.7506, 0.7388)
Li (0.1283, 0.4192, 0.0852)
Li (0.2509, 0.5008, 0.5009)
Li (0.3778, 0.2508, 0.2583)
Li (0.3849, 0.5749, 0.9145)
Li (0.3895, 0.8915, 0.5770)
Li (0.6105, 0.1085, 0.4230)
Li (0.6151, 0.4251, 0.0855)
Li (0.6222, 0.7492, 0.7417)
Li (0.7491, 0.4992, 0.4991)
Li (0.8717, 0.5808, 0.9148)
Li (0.8867, 0.2494, 0.2612)
Li (0.8899, 0.8921, 0.5781)
Mn (0.0105, 0.6616, 0.3383)
Mn (0.2437, 0.1676, 0.8364)
Mn (0.2530, 0.8346, 0.1647)
Mn (0.4897, 0.3377, 0.6615)
Mn (0.5103, 0.6623, 0.3385)
Mn (0.7470, 0.1654, 0.8353)
Mn (0.7563, 0.8324, 0.1636)
Mn (0.9895, 0.3384, 0.6617)
Co (0.0000, 0.0000, 0.0000)
Co (0.5000, 0.0000, 0.0000)
O (0.0362, 0.3675, 0.8650)
O (0.0459, 0.0366, 0.1998)
O (0.0668, 0.7104, 0.5277)
O (0.1749, 0.1542, 0.6382)
O (0.1844, 0.8225, 0.9696)
O (0.1921, 0.4854, 0.2975)
O (0.2983, 0.1979, 0.0327)
O (0.3087, 0.5147, 0.7039)
O (0.3263, 0.8460, 0.3628)
O (0.4329, 0.2895, 0.4724)
O (0.4571, 0.9633, 0.8041)
O (0.4604, 0.6346, 0.1338)
O (0.5396, 0.3654, 0.8662)
O (0.5429, 0.0367, 0.1959)
O (0.5671, 0.7105, 0.5276)
O (0.6737, 0.1540, 0.6372)
O (0.6913, 0.4853, 0.2961)
O (0.7017, 0.8021, 0.9673)
O (0.8079, 0.5146, 0.7025)
O (0.8156, 0.1775, 0.0304)
O (0.8251, 0.8458, 0.3618)
O (0.9332, 0.2896, 0.4723)
O (0.9541, 0.9634, 0.8002)
O (0.9638, 0.6325, 0.1350)